Theoretical powder diffractogram of CrHNO2 for Cu Kα X-rays, from DFT lattice parameters and positions (PBE+U).

Top 8 peaks for 10° ≤ 2θ ≤ 90°, in order of falling intensity:
index	Position (°2θ)	intensity
1 0 0	24.3	100
0 0 1	22.5	71
1 0 1	33.4	33
2 0 0	49.8	26
2 0 1	55.3	20
1 0 2	52.7	19
0 0 2	46.0	17
2 1 0	56.2	15

Structure:
abc: 3.6613 3.6613 3.9478
angles: 90.00 90.00 90.00
Space group P4/mmm (No. 123)
Unique sites:
1 Cr 0.0000 0.0000 0.0000
2 H 0.5000 0.5000 0.5000
3 N 0.0000 0.0000 0.5000
4 O 0.0000 0.5000 0.0000